# TbCo4Cu3O12
Theoretical X-ray diffraction stick pattern, Cu Kα (weighted mean of Kα1 and Kα2). Input: a crystal structure in Alexandria, relaxed with GGA+U.
Kinematic intensities with the Lorentz-polarization factor, no thermal factor.

```
TbCo4Cu3O12
1.0
-3.6393 3.6393 3.6393
3.6393 -3.6393 3.6393
3.6393 3.6393 -3.6393
Tb Co Cu O
1 4 3 12
Direct
0.0000 0.0000 0.0000
0.0000 0.0000 0.5000
0.0000 0.5000 0.0000
0.5000 0.0000 0.0000
0.5000 0.5000 0.5000
0.0000 0.5000 0.5000
0.5000 0.0000 0.5000
0.5000 0.5000 0.0000
0.1342 0.8289 0.3053
0.1711 0.3053 0.4764
0.1711 0.6947 0.8658
0.3053 0.1342 0.8289
0.3053 0.4764 0.1711
0.4764 0.1711 0.3053
0.5236 0.8289 0.6947
0.6947 0.5236 0.8289
0.6947 0.8658 0.1711
0.8289 0.3053 0.1342
0.8289 0.6947 0.5236
0.8658 0.1711 0.6947
```

Peak list (10 most intense, 2θ from 5° to 70°, in order of rising 2θ)
d/Å, 2θ (°), I_rel
5.147, 17.23, 13
3.639, 24.46, 3
2.971, 30.07, 4
2.573, 34.86, 100
2.302, 39.14, 9
2.101, 43.05, 5
1.945, 46.69, 9
1.820, 50.13, 24
1.486, 62.51, 46
1.427, 65.38, 3